Simulated X-ray diffraction stick pattern of CeMoO4F for copper Kα, from a cell relaxed with PBE+U.
Intensities are scaled so that the largest is 100.

Principal peaks in the range 2θ = 15–90°, by angle:
- 22.82 deg, I 32, hkl 1 1 -2
- 23.56 deg, I 100, hkl 0 1 2
- 24.27 deg, I 72, hkl 1 1 1
- 26.61 deg, I 45, hkl 2 0 -2
- 29.70 deg, I 29, hkl 1 1 -3
- 30.03 deg, I 85, hkl 1 2 -1
- 40.07 deg, I 28, hkl 0 2 3
- 48.55 deg, I 32, hkl 3 2 -1

Cell and atoms:
a b c (Å): 6.9753 6.6414 10.1448
angles (deg): 90.00 115.20 90.00
Space group P2_1/c (No. 14)
Unique sites:
Ce: 0.1998 0.1291 0.4253 x4
Mo: 0.3308 0.6358 0.6654 x4
O: 0.1635 0.6404 0.0801 x4
O: 0.2179 0.0997 0.0842 x4
O: 0.4400 0.6056 0.8641 x4
O: 0.4431 0.1652 0.8698 x4
F: 0.0206 0.6132 0.7364 x4